Diffraction record for PNF6. The powder diffractogram is calculated, not measured: it uses a PBE-relaxed structure and Cu Kα (weighted mean of Kα1 and Kα2).
Neutral-atom scattering factors, no anomalous dispersion.

abc: 7.6707 7.6707 7.6707
angles: 90.00 90.00 90.00
Space group Pa-3 (No. 205)
Asymmetric unit:
P 0.0000 0.0000 0.0000 (multiplicity 4)
N 0.0000 0.0000 0.5000 (multiplicity 4)
F 0.0516 0.5697 0.3054 (multiplicity 24)

Peak list (6 most intense, 15 to 90 degrees two-theta, low angle first)
2θ/deg	Rel. int.
20.05	99
23.19	100
35.10	15
42.49	22
50.48	19
53.42	15